LiCrFe4O8: simulated X-ray powder pattern (λ = 1.5418 Å (Cu Kα)), based on a DFT-relaxed cell (GGA+U, the Materials Project).

Peak list (12 most intense, 2θ from 10° to 90°, low angle first)
| 2theta | I_rel |
| --- | --- |
| 18.32 | 35 |
| 30.01 | 73 |
| 35.04 | 100 |
| 35.15 | 61 |
| 35.39 | 37 |
| 42.75 | 30 |
| 52.95 | 25 |
| 56.34 | 14 |
| 56.47 | 14 |
| 56.71 | 16 |
| 61.76 | 45 |
| 62.36 | 41 |

```
data_LiCrFe4O8
_cell_length_a 10.279
_cell_length_b 6.011
_cell_length_c 5.961
_cell_angle_alpha 90.00
_cell_angle_beta 124.71
_cell_angle_gamma 90.00
_space_group_name_H-M_alt 'C 1 2/m 1'
_space_group_IT_number 12
loop_
_space_group_symop_operation_xyz
'x,y,z'
'-x,-y,-z'
'-x,y,-z'
'x,-y,z'
'x+1/2,y+1/2,z'
'-x+1/2,-y+1/2,-z'
'-x+1/2,y+1/2,-z'
'x+1/2,-y+1/2,z'
loop_
_atom_site_label
_atom_site_type_symbol
_atom_site_fract_x
_atom_site_fract_y
_atom_site_fract_z
Li1 Li 0.000 0.000 0.000
Cr1 Cr 0.000 0.000 0.500
Fe1 Fe 0.119 0.500 0.380
Fe2 Fe 0.250 0.250 0.000
O1 O 0.010 0.238 0.751
O2 O 0.242 0.000 0.753
O3 O 0.249 0.000 0.230
```

=====

Li9Mn2Co5O16: simulated X-ray powder pattern (λ = 1.5418 Å (Cu Kα)), based on a DFT-relaxed cell (GGA+U, the Materials Project).

Peak list (12 most intense, 2θ from 10° to 90°, low angle first)
| 2theta | I_rel |
| --- | --- |
| 18.31 | 100 |
| 35.40 | 15 |
| 36.18 | 26 |
| 37.57 | 7 |
| 42.67 | 28 |
| 43.90 | 54 |
| 47.41 | 9 |
| 57.82 | 10 |
| 62.63 | 15 |
| 63.13 | 14 |
| 63.45 | 7 |
| 64.22 | 7 |

```
data_Li9Mn2Co5O16
_cell_length_a 16.954
_cell_length_b 5.802
_cell_length_c 5.865
_cell_angle_alpha 90.00
_cell_angle_beta 90.58
_cell_angle_gamma 90.00
_space_group_name_H-M_alt 'C 1 m 1'
_space_group_IT_number 8
loop_
_space_group_symop_operation_xyz
'x,y,z'
'x,-y,z'
'x+1/2,y+1/2,z'
'x+1/2,-y+1/2,z'
loop_
_atom_site_label
_atom_site_type_symbol
_atom_site_fract_x
_atom_site_fract_y
_atom_site_fract_z
Li1 Li 0.000 0.000 0.000
Li2 Li 0.001 0.000 0.500
Li3 Li 0.120 0.242 0.756
Li4 Li 0.244 0.000 0.005
Li5 Li 0.245 0.500 0.001
Li6 Li 0.377 0.252 0.249
Li7 Li 0.499 0.000 0.502
Mn1 Mn 0.375 0.249 0.753
Co1 Co 0.117 0.243 0.242
Co2 Co 0.239 0.500 0.495
Co3 Co 0.248 0.000 0.498
Co4 Co 0.499 0.000 0.003
O1 O 0.003 0.266 0.237
O2 O 0.119 0.000 0.489
O3 O 0.125 0.000 0.010
O4 O 0.127 0.500 0.010
O5 O 0.130 0.500 0.500
O6 O 0.246 0.239 0.272
O7 O 0.258 0.240 0.727
O8 O 0.369 0.000 0.977
O9 O 0.369 0.500 0.974
O10 O 0.374 0.500 0.527
O11 O 0.377 0.000 0.527
O12 O 0.488 0.237 0.771
```

=====

Tb2MgMo2Cl2O8: simulated X-ray powder pattern (λ = 1.5418 Å (Cu Kα)), based on a DFT-relaxed cell (GGA+U, the Materials Project).

Peak list (12 most intense, 2θ from 10° to 90°, low angle first)
| 2theta | I_rel |
| --- | --- |
| 13.50 | 58 |
| 17.41 | 67 |
| 24.89 | 100 |
| 25.55 | 74 |
| 28.04 | 51 |
| 28.46 | 81 |
| 30.53 | 25 |
| 33.26 | 67 |
| 35.97 | 38 |
| 41.15 | 28 |
| 43.63 | 38 |
| 46.10 | 32 |

```
data_Tb2MgMo2Cl2O8
_cell_length_a 6.489
_cell_length_b 6.502
_cell_length_c 6.978
_cell_angle_alpha 73.42
_cell_angle_beta 73.39
_cell_angle_gamma 66.85
_space_group_name_H-M_alt 'P 1'
_space_group_IT_number 1
loop_
_space_group_symop_operation_xyz
'x,y,z'
loop_
_atom_site_label
_atom_site_type_symbol
_atom_site_fract_x
_atom_site_fract_y
_atom_site_fract_z
Tb1 Tb 0.000 0.000 0.000
Tb2 Tb 0.476 0.477 0.784
Mg1 Mg 0.932 0.546 0.392
Mo1 Mo 0.606 0.588 0.159
Mo2 Mo 0.888 0.872 0.625
Cl1 Cl 0.193 0.283 0.141
Cl2 Cl 0.195 0.284 0.643
O1 O 0.002 0.852 0.350
O2 O 0.147 0.775 0.740
O3 O 0.365 0.746 0.024
O4 O 0.627 0.474 0.434
O5 O 0.702 0.330 0.044
O6 O 0.718 0.683 0.664
O7 O 0.729 0.112 0.761
O8 O 0.794 0.758 0.120
```

=====

CaNi4O9: simulated X-ray powder pattern (λ = 1.5418 Å (Cu Kα)), based on a DFT-relaxed cell (GGA+U, the Materials Project).

Peak list (12 most intense, 2θ from 10° to 90°, low angle first)
| 2theta | I_rel |
| --- | --- |
| 15.15 | 100 |
| 21.64 | 11 |
| 27.87 | 13 |
| 28.92 | 7 |
| 30.56 | 10 |
| 33.96 | 7 |
| 34.10 | 9 |
| 37.38 | 9 |
| 37.50 | 7 |
| 47.55 | 8 |
| 50.20 | 15 |
| 52.73 | 13 |

```
data_CaNi4O9
_cell_length_a 8.228
_cell_length_b 5.850
_cell_length_c 11.540
_cell_angle_alpha 90.00
_cell_angle_beta 132.95
_cell_angle_gamma 90.00
_space_group_name_H-M_alt 'P 1 2/c 1'
_space_group_IT_number 13
loop_
_space_group_symop_operation_xyz
'x,y,z'
'-x,-y,-z'
'-x,y,-z+1/2'
'x,-y,z+1/2'
loop_
_atom_site_label
_atom_site_type_symbol
_atom_site_fract_x
_atom_site_fract_y
_atom_site_fract_z
Ca1 Ca 0.000 0.192 0.250
Ni1 Ni 0.200 0.458 0.033
Ni2 Ni 0.369 0.437 0.839
O1 O 0.100 0.435 0.144
O2 O 0.171 0.148 0.926
O3 O 0.242 0.148 0.850
O4 O 0.325 0.385 0.463
O5 O 0.500 0.489 0.250
```

=====

Ba10Ti8NbNiO30: simulated X-ray powder pattern (λ = 1.5418 Å (Cu Kα)), based on a DFT-relaxed cell (GGA+U, the Materials Project).

Peak list (12 most intense, 2θ from 10° to 90°, low angle first)
| 2theta | I_rel |
| --- | --- |
| 22.05 | 14 |
| 30.92 | 100 |
| 31.38 | 48 |
| 38.30 | 32 |
| 43.62 | 18 |
| 44.97 | 33 |
| 54.71 | 19 |
| 55.57 | 38 |
| 64.44 | 20 |
| 65.48 | 10 |
| 82.01 | 10 |
| 89.24 | 10 |

```
data_Ba10Ti8NbNiO30
_cell_length_a 5.702
_cell_length_b 5.702
_cell_length_c 41.498
_cell_angle_alpha 90.00
_cell_angle_beta 90.00
_cell_angle_gamma 90.00
_space_group_name_H-M_alt 'I 4/m m m'
_space_group_IT_number 139
_space_group_name_Hall '-I 4 2'
loop_
_atom_site_label
_atom_site_type_symbol
_atom_site_fract_x
_atom_site_fract_y
_atom_site_fract_z
Ba1 Ba 0.000 0.500 0.050
Ba2 Ba 0.000 0.500 0.150
Ba3 Ba 0.000 0.500 0.250
Ti1 Ti 0.000 0.000 0.097
Ti2 Ti 0.000 0.000 0.197
Ti3 Ti 0.000 0.000 0.297
Ti4 Ti 0.000 0.000 0.397
Nb1 Nb 0.000 0.000 0.500
Ni1 Ni 0.000 0.000 0.000
O1 O 0.000 0.000 0.054
O2 O 0.000 0.000 0.153
O3 O 0.000 0.000 0.252
O4 O 0.000 0.000 0.352
O5 O 0.000 0.000 0.450
O6 O 0.249 0.249 0.500
O7 O 0.250 0.250 0.101
O8 O 0.250 0.250 0.200
```

=====

Li2NiSn3P6O24: simulated X-ray powder pattern (λ = 1.5418 Å (Cu Kα)), based on a DFT-relaxed cell (GGA+U, the Materials Project).

Peak list (12 most intense, 2θ from 10° to 90°, low angle first)
| 2theta | I_rel |
| --- | --- |
| 14.19 | 34 |
| 20.00 | 100 |
| 20.23 | 83 |
| 23.66 | 70 |
| 28.60 | 57 |
| 31.91 | 56 |
| 35.29 | 37 |
| 35.43 | 38 |
| 45.81 | 20 |
| 48.41 | 23 |
| 52.58 | 24 |
| 55.35 | 41 |

```
data_Li2NiSn3P6O24
_cell_length_a 8.7775
_cell_length_b 8.7775
_cell_length_c 21.8775
_cell_angle_alpha 90.00
_cell_angle_beta 90.00
_cell_angle_gamma 120.00
_space_group_name_H-M_alt 'R 3'
_space_group_IT_number 146
_space_group_name_Hall 'R 3'
loop_
_atom_site_label
_atom_site_type_symbol
_atom_site_fract_x
_atom_site_fract_y
_atom_site_fract_z
Li1 Li 0.0000 0.0000 0.0000
Li2 Li 0.0000 0.0000 0.4815
Ni1 Ni 0.0000 0.0000 0.1286
Sn1 Sn 0.0000 0.0000 0.3368
Sn2 Sn 0.0000 0.0000 0.6261
Sn3 Sn 0.0000 0.0000 0.8384
P1 P 0.0007 0.2913 0.2305
P2 P 0.0038 0.7046 0.7324
O1 O 0.0102 0.2000 0.1733
O2 O 0.0098 0.8040 0.6733
O3 O 0.0152 0.8312 0.4010
O4 O 0.0206 0.1886 0.8996
O5 O 0.1353 0.4615 0.9580
O6 O 0.1392 0.6769 0.4571
O7 O 0.1670 0.4809 0.2288
O8 O 0.1681 0.6840 0.7315
```

=====

Mn4OF8: simulated X-ray powder pattern (λ = 1.5418 Å (Cu Kα)), based on a DFT-relaxed cell (GGA+U, the Materials Project).

Peak list (12 most intense, 2θ from 10° to 90°, low angle first)
| 2theta | I_rel |
| --- | --- |
| 11.80 | 14 |
| 18.63 | 55 |
| 18.84 | 100 |
| 22.57 | 25 |
| 30.08 | 48 |
| 31.13 | 16 |
| 32.68 | 31 |
| 48.15 | 19 |
| 49.63 | 21 |
| 50.54 | 15 |
| 58.04 | 21 |
| 58.83 | 17 |

```
data_Mn4OF8
_cell_length_a 9.541
_cell_length_b 5.417
_cell_length_c 15.015
_cell_angle_alpha 90.00
_cell_angle_beta 93.03
_cell_angle_gamma 90.00
_space_group_name_H-M_alt 'C 1 c 1'
_space_group_IT_number 9
loop_
_space_group_symop_operation_xyz
'x,y,z'
'x,-y,z+1/2'
'x+1/2,y+1/2,z'
'x+1/2,-y+1/2,z+1/2'
loop_
_atom_site_label
_atom_site_type_symbol
_atom_site_fract_x
_atom_site_fract_y
_atom_site_fract_z
Mn1 Mn 0.000 0.005 0.000
Mn2 Mn 0.327 0.011 0.833
Mn3 Mn 0.334 0.030 0.047
Mn4 Mn 0.486 0.492 0.192
O1 O 0.486 0.267 0.093
F1 F 0.139 0.162 0.087
F2 F 0.156 0.128 0.756
F3 F 0.187 0.088 0.441
F4 F 0.346 0.291 0.255
F5 F 0.360 0.314 0.601
F6 F 0.361 0.301 0.934
F7 F 0.461 0.184 0.437
F8 F 0.472 0.229 0.768
```

=====

Sr4CaMn2Ga2O11: simulated X-ray powder pattern (λ = 1.5418 Å (Cu Kα)), based on a DFT-relaxed cell (GGA+U, the Materials Project).

Peak list (12 most intense, 2θ from 10° to 90°, low angle first)
| 2theta | I_rel |
| --- | --- |
| 29.64 | 100 |
| 31.05 | 86 |
| 32.36 | 35 |
| 32.66 | 31 |
| 38.19 | 14 |
| 38.45 | 17 |
| 40.07 | 42 |
| 44.64 | 21 |
| 48.58 | 19 |
| 52.42 | 19 |
| 52.62 | 18 |
| 55.18 | 18 |

```
data_Sr4CaMn2Ga2O11
_cell_length_a 8.120
_cell_length_b 9.000
_cell_length_c 8.493
_cell_angle_alpha 90.00
_cell_angle_beta 118.03
_cell_angle_gamma 90.00
_space_group_name_H-M_alt 'C 1 2 1'
_space_group_IT_number 5
loop_
_space_group_symop_operation_xyz
'x,y,z'
'-x,y,-z'
'x+1/2,y+1/2,z'
'-x+1/2,y+1/2,-z'
loop_
_atom_site_label
_atom_site_type_symbol
_atom_site_fract_x
_atom_site_fract_y
_atom_site_fract_z
Sr1 Sr 0.137 0.000 0.264
Sr2 Sr 0.157 0.504 0.305
Ca1 Ca 0.000 0.318 0.000
Mn1 Mn 0.000 0.251 0.500
Mn2 Mn 0.000 0.750 0.500
Ga1 Ga 0.190 0.711 0.003
O1 O 0.000 0.529 0.500
O2 O 0.000 0.830 0.000
O3 O 0.000 0.970 0.500
O4 O 0.082 0.244 0.774
O5 O 0.172 0.511 0.003
O6 O 0.211 0.740 0.791
O7 O 0.241 0.757 0.455
```